Entry 1:
Computed X-ray diffraction stick pattern of KPu2ZnBr8 for copper Kα, from a GGA-PBE-relaxed structure.
Peak positions follow from Bragg's law for the DFT cell and can differ from measured ones.

Peak list (10 most intense, 2θ = 5–70°, sorted by position)
Position (°2θ)	d (Å)	I_rel
12.57	7.043	504
13.08	6.770	430
17.42	5.092	804
18.91	4.694	625
23.91	3.722	433
26.58	3.353	1000
29.53	3.025	510
34.86	2.573	588
36.46	2.465	505
43.57	2.077	519

Crystal structure
```
KPu2ZnBr8
1.0
6.792 0.000 0.000
0.000 8.911 0.000
-0.574 0.000 7.043
K Pu Zn Br
1 2 1 8
Direct
0.000 0.000 0.000
0.500 0.260 0.500
0.500 0.740 0.500
0.000 0.500 0.000
0.227 0.293 0.157
0.227 0.707 0.157
0.265 0.500 0.660
0.282 0.000 0.639
0.718 0.000 0.361
0.735 0.500 0.340
0.773 0.293 0.843
0.773 0.707 0.843
```

***

Entry 2:
Computed X-ray diffraction stick pattern of KRb4Br4 for copper Kα, from a GGA-PBE-relaxed structure.
Peak positions follow from Bragg's law for the DFT cell and can differ from measured ones.

Peak list (10 most intense, 2θ = 5–70°, sorted by position)
Position (°2θ)	d (Å)	I_rel
25.50	3.494	1000
35.92	2.500	129
36.37	2.470	511
36.81	2.442	128
44.57	2.033	137
45.31	2.001	136
52.38	1.747	128
59.13	1.562	235
64.86	1.438	83
66.02	1.415	88

Crystal structure
```
KRb4Br4
1.0
8.271 -2.442 0.000
8.271 2.442 0.000
-6.120 0.000 10.559
K Rb Br
1 4 4
Direct
0.000 0.000 0.000
0.199 0.199 0.805
0.397 0.397 0.604
0.603 0.603 0.396
0.801 0.801 0.195
0.199 0.199 0.294
0.405 0.405 0.096
0.595 0.595 0.904
0.801 0.801 0.706
```

***

Entry 3:
Computed X-ray diffraction stick pattern of K2RbBr3 for copper Kα, from a GGA-PBE-relaxed structure.
Peak positions follow from Bragg's law for the DFT cell and can differ from measured ones.

Peak list (10 most intense, 2θ = 5–70°, sorted by position)
Position (°2θ)	d (Å)	I_rel
22.65	3.927	64
26.21	3.401	1000
37.40	2.405	752
46.24	1.963	266
53.86	1.702	84
54.05	1.697	40
60.87	1.522	228
61.02	1.518	111
67.42	1.389	166
67.55	1.387	81

Crystal structure
```
K2RbBr3
1.0
4.814 0.000 0.000
0.000 4.814 0.000
0.000 0.000 20.358
K Rb Br
4 2 6
Direct
0.000 0.000 0.167
0.000 0.000 0.833
0.500 0.500 0.333
0.500 0.500 0.667
0.000 0.000 0.500
0.500 0.500 0.000
0.000 0.000 0.000
0.000 0.000 0.330
0.000 0.000 0.670
0.500 0.500 0.170
0.500 0.500 0.500
0.500 0.500 0.830
```

***

Entry 4:
Computed X-ray diffraction stick pattern of K4RbBr5 for copper Kα, from a GGA-PBE-relaxed structure.
Peak positions follow from Bragg's law for the DFT cell and can differ from measured ones.

Peak list (10 most intense, 2θ = 5–70°, sorted by position)
Position (°2θ)	d (Å)	I_rel
5.24	16.871	33
22.80	3.900	107
26.39	3.378	1000
37.66	2.388	747
44.48	2.037	58
46.57	1.950	268
54.32	1.689	122
61.35	1.511	225
61.42	1.509	109
67.98	1.379	242

Crystal structure
```
K4RbBr5
1.0
-2.390 2.390 16.871
2.390 -2.390 16.871
2.390 2.390 -16.871
K Rb Br
4 1 5
Direct
0.101 0.101 0.000
0.299 0.299 0.000
0.701 0.701 0.000
0.899 0.899 0.000
0.500 0.500 0.000
0.000 0.000 0.000
0.200 0.200 0.000
0.398 0.398 0.000
0.602 0.602 0.000
0.800 0.800 0.000
```

***

Entry 5:
Computed X-ray diffraction stick pattern of KRb2SbBr8 for copper Kα, from a GGA-PBE-relaxed structure.
Peak positions follow from Bragg's law for the DFT cell and can differ from measured ones.

Peak list (10 most intense, 2θ = 5–70°, sorted by position)
Position (°2θ)	d (Å)	I_rel
9.23	9.579	619
14.55	6.088	1000
24.02	3.704	890
25.10	3.547	968
28.51	3.131	313
29.04	3.075	695
30.86	2.897	410
35.08	2.558	395
35.34	2.540	439
38.76	2.323	309

Crystal structure
```
KRb2SbBr8
1.0
6.363 0.000 0.000
0.888 8.161 0.000
2.754 0.393 9.579
K Rb Sb Br
1 2 1 8
Direct
0.000 0.000 0.000
0.171 0.502 0.223
0.829 0.498 0.777
0.000 0.000 0.500
0.175 0.825 0.687
0.216 0.254 0.516
0.290 0.319 0.911
0.326 0.882 0.296
0.674 0.118 0.704
0.710 0.681 0.089
0.784 0.746 0.484
0.825 0.175 0.313
```

***

Entry 6:
Computed X-ray diffraction stick pattern of K2RbSn2Br7 for copper Kα, from a GGA-PBE-relaxed structure.
Peak positions follow from Bragg's law for the DFT cell and can differ from measured ones.

Peak list (10 most intense, 2θ = 5–70°, sorted by position)
Position (°2θ)	d (Å)	I_rel
14.01	6.319	416
15.36	5.767	432
17.02	5.209	282
24.50	3.633	401
27.39	3.256	1000
30.22	2.957	784
34.49	2.600	432
41.24	2.189	654
44.60	2.032	315
46.47	1.954	323

Crystal structure
```
K2RbSn2Br7
1.0
-2.957 13.012 3.257
2.957 -13.012 3.257
2.957 13.012 -3.257
K Rb Sn Br
2 1 2 7
Direct
0.222 0.000 0.222
0.778 0.000 0.778
0.922 0.422 0.500
0.407 0.517 0.890
0.626 0.517 0.110
0.002 0.099 0.903
0.196 0.099 0.097
0.270 0.497 0.773
0.457 0.070 0.387
0.606 0.606 0.000
0.683 0.070 0.613
0.725 0.497 0.227
```

***

Entry 7:
Computed X-ray diffraction stick pattern of K2RbTaBr8 for copper Kα, from a GGA-PBE-relaxed structure.
Peak positions follow from Bragg's law for the DFT cell and can differ from measured ones.

Peak list (10 most intense, 2θ = 5–70°, sorted by position)
Position (°2θ)	d (Å)	I_rel
8.80	10.053	456
11.57	7.645	578
14.61	6.061	517
17.67	5.018	296
22.89	3.885	433
28.02	3.184	1000
30.78	2.904	291
35.74	2.513	157
37.62	2.391	216
44.00	2.058	172

Crystal structure
```
K2RbTaBr8
1.0
6.446 0.000 0.000
2.770 7.645 0.000
0.101 0.075 10.053
K Rb Ta Br
2 1 1 8
Direct
0.026 0.494 0.227
0.974 0.506 0.773
0.000 0.000 0.000
0.000 0.000 0.500
0.210 0.213 0.505
0.252 0.814 0.678
0.259 0.824 0.321
0.297 0.272 0.988
0.703 0.728 0.012
0.741 0.176 0.679
0.748 0.186 0.322
0.790 0.787 0.495
```

***

Entry 8:
Computed X-ray diffraction stick pattern of K2RbTlBr6 for copper Kα, from a GGA-PBE-relaxed structure.
Peak positions follow from Bragg's law for the DFT cell and can differ from measured ones.

Peak list (10 most intense, 2θ = 5–70°, sorted by position)
Position (°2θ)	d (Å)	I_rel
13.17	6.721	504
15.03	5.894	973
20.91	4.249	337
25.14	3.542	1000
30.33	2.947	396
33.48	2.677	841
37.62	2.391	351
38.11	2.362	500
44.31	2.044	286
51.62	1.771	251

Crystal structure
```
K2RbTlBr6
1.0
8.175 0.000 0.000
4.086 7.089 0.000
4.085 2.363 7.080
K Rb Tl Br
2 1 1 6
Direct
0.000 0.000 0.000
0.489 0.488 0.535
0.284 0.284 0.148
0.796 0.796 0.612
0.028 0.690 0.828
0.147 0.604 0.366
0.455 0.027 0.829
0.603 0.883 0.367
0.690 0.454 0.828
0.884 0.147 0.366
```

***

Entry 9:
Computed X-ray diffraction stick pattern of K2ReBr5 for copper Kα, from a GGA-PBE-relaxed structure.
Peak positions follow from Bragg's law for the DFT cell and can differ from measured ones.

Peak list (10 most intense, 2θ = 5–70°, sorted by position)
Position (°2θ)	d (Å)	I_rel
14.53	6.095	1000
16.27	5.447	253
17.80	4.982	374
29.30	3.048	578
32.88	2.724	587
36.06	2.491	243
37.63	2.390	333
43.30	2.090	266
49.60	1.838	405
50.82	1.797	251

Crystal structure
```
K2ReBr5
1.0
7.704 0.000 0.000
0.000 7.704 0.000
0.000 0.000 9.964
K Re Br
4 2 10
Direct
0.000 0.500 0.000
0.000 0.500 0.500
0.500 0.000 0.000
0.500 0.000 0.500
0.000 0.000 0.259
0.500 0.500 0.759
0.000 0.000 0.523
0.231 0.231 0.236
0.231 0.769 0.236
0.269 0.269 0.736
0.269 0.731 0.736
0.500 0.500 0.023
0.731 0.269 0.736
0.731 0.731 0.736
0.769 0.231 0.236
0.769 0.769 0.236
```

***

Entry 10:
Computed X-ray diffraction stick pattern of K2S5Br2 for copper Kα, from a GGA-PBE-relaxed structure.
Peak positions follow from Bragg's law for the DFT cell and can differ from measured ones.

Peak list (10 most intense, 2θ = 5–70°, sorted by position)
Position (°2θ)	d (Å)	I_rel
10.09	8.767	765
19.28	4.604	278
20.26	4.384	1000
27.68	3.223	431
28.03	3.184	482
28.60	3.122	329
31.45	2.844	428
31.66	2.826	329
32.91	2.722	245
36.11	2.487	297

Crystal structure
```
K2S5Br2
1.0
4.612 0.000 0.000
-0.505 11.491 0.000
-0.533 -0.279 13.891
K S Br
4 10 4
Direct
0.000 0.000 0.000
0.000 0.454 0.481
0.005 0.265 0.763
0.997 0.719 0.240
0.061 0.962 0.746
0.178 0.540 0.960
0.271 0.066 0.390
0.374 0.519 0.840
0.407 0.597 0.072
0.420 0.322 0.293
0.527 0.932 0.428
0.534 0.161 0.291
0.725 0.897 0.669
0.804 0.990 0.540
0.500 0.867 0.127
0.503 0.349 0.616
0.505 0.609 0.373
0.507 0.149 0.901
```